(1)
Calculated X-ray diffraction stick pattern
Compound: SbW
Radiation: Cu Kα (weighted mean of Kα1 and Kα2)
Structure: a cell relaxed with PBE

Cell and atoms:
Cell: 5.3326 4.4206 7.4088 Å, 90.00 90.00 90.00°
Space group Pmma (No. 51)
Inequivalent atoms, fractional coordinates:
Sb  0.2500  0.0000  0.1177
Sb  0.2500  0.5000  0.7425
W  0.0000  0.0000  0.5000
W  0.2500  0.5000  0.3590

Peak list (10 most intense, 10 to 90 degrees two-theta, by intensity)
2theta	intensity
11.95	100
41.38	69
35.83	63
31.51	57
40.83	43
41.90	41
39.47	34
41.74	23
40.24	22
59.81	16

(2)
Calculated X-ray diffraction stick pattern
Compound: Zn6Sb5
Radiation: Cu Kα (weighted mean of Kα1 and Kα2)
Structure: a cell relaxed with PBE

Cell and atoms:
Cell: 10.8562 12.2844 8.1907 Å, 90.00 100.86 90.00°
Space group C2/c (No. 15)
Inequivalent atoms, fractional coordinates:
Zn  0.0711  0.0877  0.0648
Zn  0.1117  0.4527  0.9830
Zn  0.2262  0.2905  0.3414
Sb  0.0000  0.3932  0.2500
Sb  0.1152  0.2497  0.8653
Sb  0.1783  0.0716  0.3936

Peak list (10 most intense, 10 to 90 degrees two-theta, by intensity)
2theta	intensity
25.10	100
44.21	77
36.54	73
44.85	64
26.47	59
30.24	53
31.16	41
42.44	40
26.12	37
48.17	35

(3)
Calculated X-ray diffraction stick pattern
Compound: ZnSb
Radiation: Cu Kα (weighted mean of Kα1 and Kα2)
Structure: a cell relaxed with PBE

Cell and atoms:
Cell: 7.4805 7.4805 7.4805 Å, 90.00 90.00 90.00°
Space group Pa-3 (No. 205)
Inequivalent atoms, fractional coordinates:
Zn  0.1289  0.1289  0.1289
Sb  0.1108  0.6108  0.8892

Peak list (10 most intense, 10 to 90 degrees two-theta, by intensity)
2theta	intensity
29.24	100
45.36	61
48.69	23
78.88	17
68.73	14
71.32	13
57.81	12
20.56	9
88.69	7
43.63	6

(4)
Calculated X-ray diffraction stick pattern
Compound: Zn2Sb
Radiation: Cu Kα (weighted mean of Kα1 and Kα2)
Structure: a cell relaxed with PBE

Cell and atoms:
Cell: 5.1074 10.3264 4.4964 Å, 90.00 90.00 90.00°
Space group Pmmn (No. 59, origin choice 2)
Inequivalent atoms, fractional coordinates:
Zn  0.2500  0.1241  0.0718
Zn  0.2500  0.2500  0.5704
Zn  0.2500  0.7500  0.1572
Sb  0.2500  0.5715  0.6596

Peak list (10 most intense, 10 to 90 degrees two-theta, by intensity)
2theta	intensity
37.31	100
35.14	79
32.77	76
44.00	63
48.81	49
31.67	36
47.49	20
64.48	19
44.92	18
26.41	15